(1)
ThCu5Hg: simulated X-ray diffraction stick pattern (Cu Kα (λ = 1.5418 Å)), based on a crystal structure in Alexandria, relaxed with GGA-PBE.

Largest 6 diffraction maxima, by angle, 10° ≤ 2θ ≤ 90°:
30.83°, 2.900 Å, rel. 327
35.29°, 2.543 Å, rel. 278
35.55°, 2.525 Å, rel. 226
37.68°, 2.388 Å, rel. 1000
44.16°, 2.051 Å, rel. 390
45.25°, 2.004 Å, rel. 213

Crystal structure
```
data_ThCu5Hg
_cell_length_a 8.3948
_cell_length_b 5.0867
_cell_length_c 10.5921
_cell_angle_alpha 90.00
_cell_angle_beta 90.00
_cell_angle_gamma 90.00
_space_group_name_H-M_alt 'P 1'
_space_group_IT_number 1
loop_
_space_group_symop_operation_xyz
'x,y,z'
loop_
_atom_site_label
_atom_site_type_symbol
_atom_site_fract_x
_atom_site_fract_y
_atom_site_fract_z
Th1 Th 0.2453 0.2500 0.0663
Th2 Th 0.2547 0.7500 0.5663
Th3 Th 0.7453 0.2500 0.4337
Th4 Th 0.7547 0.7500 0.9337
Cu1 Cu 0.0529 0.7500 0.1100
Cu2 Cu 0.0669 0.9997 0.3139
Cu3 Cu 0.0669 0.5003 0.3139
Cu4 Cu 0.0818 0.2500 0.5145
Cu5 Cu 0.1858 0.2500 0.7407
Cu6 Cu 0.3142 0.7500 0.2407
Cu7 Cu 0.4182 0.7500 0.0145
Cu8 Cu 0.4331 0.0003 0.8139
Cu9 Cu 0.4331 0.4997 0.8139
Cu10 Cu 0.4471 0.2500 0.6100
Cu11 Cu 0.5529 0.7500 0.3900
Cu12 Cu 0.5669 0.9997 0.1861
Cu13 Cu 0.5669 0.5003 0.1861
Cu14 Cu 0.5818 0.2500 0.9855
Cu15 Cu 0.6858 0.2500 0.7593
Cu16 Cu 0.8142 0.7500 0.2593
Cu17 Cu 0.9182 0.7500 0.4855
Cu18 Cu 0.9331 0.0003 0.6861
Cu19 Cu 0.9331 0.4997 0.6861
Cu20 Cu 0.9471 0.2500 0.8900
Hg1 Hg 0.1371 0.7500 0.8663
Hg2 Hg 0.3629 0.2500 0.3663
Hg3 Hg 0.6371 0.7500 0.6337
Hg4 Hg 0.8629 0.2500 0.1337
```

=====

(2)
RbAcRe2O7: simulated X-ray diffraction stick pattern (Cu Kα (λ = 1.5418 Å)), based on a crystal structure in Alexandria, relaxed with GGA-PBE.

Largest 6 diffraction maxima, by angle, 10° ≤ 2θ ≤ 90°:
27.93°, 3.194 Å, rel. 1000
31.80°, 2.814 Å, rel. 467
33.73°, 2.658 Å, rel. 305
45.58°, 1.990 Å, rel. 246
54.31°, 1.689 Å, rel. 324
57.89°, 1.593 Å, rel. 142

Crystal structure
```
data_RbAcRe2O7
_cell_length_a 3.9801
_cell_length_b 3.9801
_cell_length_c 10.7100
_cell_angle_alpha 90.00
_cell_angle_beta 90.00
_cell_angle_gamma 90.00
_space_group_name_H-M_alt 'P 1'
_space_group_IT_number 1
loop_
_space_group_symop_operation_xyz
'x,y,z'
loop_
_atom_site_label
_atom_site_type_symbol
_atom_site_fract_x
_atom_site_fract_y
_atom_site_fract_z
Rb1 Rb 0.0000 0.0000 0.0000
Ac1 Ac 0.0000 0.0000 0.5000
Re1 Re 0.5000 0.5000 0.3058
Re2 Re 0.5000 0.5000 0.6942
O1 O 0.0000 0.5000 0.3268
O2 O 0.0000 0.5000 0.6732
O3 O 0.5000 0.0000 0.3268
O4 O 0.5000 0.0000 0.6732
O5 O 0.5000 0.5000 0.1383
O6 O 0.5000 0.5000 0.5000
O7 O 0.5000 0.5000 0.8617
```

=====

(3)
Ba5TbSb4: simulated X-ray diffraction stick pattern (Cu Kα (λ = 1.5418 Å)), based on a crystal structure in Alexandria, relaxed with GGA-PBE.

Largest 6 diffraction maxima, by angle, 10° ≤ 2θ ≤ 90°:
26.27°, 3.392 Å, rel. 597
26.95°, 3.308 Å, rel. 1000
34.66°, 2.588 Å, rel. 698
36.28°, 2.476 Å, rel. 249
41.09°, 2.197 Å, rel. 236
45.34°, 2.000 Å, rel. 270

Crystal structure
```
data_Ba5TbSb4
_cell_length_a 11.4213
_cell_length_b 11.4213
_cell_length_c 11.4213
_cell_angle_alpha 154.96
_cell_angle_beta 132.99
_cell_angle_gamma 53.99
_space_group_name_H-M_alt 'P 1'
_space_group_IT_number 1
loop_
_space_group_symop_operation_xyz
'x,y,z'
loop_
_atom_site_label
_atom_site_type_symbol
_atom_site_fract_x
_atom_site_fract_y
_atom_site_fract_z
Ba1 Ba 0.0000 0.0000 0.0000
Ba2 Ba 0.0844 0.3349 0.7495
Ba3 Ba 0.4147 0.6651 0.7495
Ba4 Ba 0.5853 0.3349 0.2505
Ba5 Ba 0.9156 0.6651 0.2505
Tb1 Tb 0.5000 0.0000 0.5000
Sb1 Sb 0.2741 0.5000 0.7741
Sb2 Sb 0.3114 0.8114 0.5000
Sb3 Sb 0.6886 0.1886 0.5000
Sb4 Sb 0.7259 0.5000 0.2259
```

=====

(4)
Ac2NdSn3Pd4: simulated X-ray diffraction stick pattern (Cu Kα (λ = 1.5418 Å)), based on a crystal structure in Alexandria, relaxed with GGA-PBE.

Largest 6 diffraction maxima, by angle, 10° ≤ 2θ ≤ 90°:
30.36°, 2.944 Å, rel. 523
31.12°, 2.874 Å, rel. 1000
38.12°, 2.361 Å, rel. 626
49.49°, 1.842 Å, rel. 276
55.01°, 1.669 Å, rel. 218
64.56°, 1.444 Å, rel. 251

Crystal structure
```
data_Ac2NdSn3Pd4
_cell_length_a 4.7217
_cell_length_b 4.7217
_cell_length_c 11.2994
_cell_angle_alpha 90.00
_cell_angle_beta 90.00
_cell_angle_gamma 90.00
_space_group_name_H-M_alt 'P 1'
_space_group_IT_number 1
loop_
_space_group_symop_operation_xyz
'x,y,z'
loop_
_atom_site_label
_atom_site_type_symbol
_atom_site_fract_x
_atom_site_fract_y
_atom_site_fract_z
Ac1 Ac 0.0000 0.5000 0.2251
Ac2 Ac 0.5000 0.0000 0.7749
Nd1 Nd 0.0000 0.0000 0.5000
Sn1 Sn 0.0000 0.5000 0.8817
Sn2 Sn 0.5000 0.0000 0.1183
Sn3 Sn 0.5000 0.5000 0.5000
Pd1 Pd 0.0000 0.0000 0.0000
Pd2 Pd 0.0000 0.5000 0.6478
Pd3 Pd 0.5000 0.0000 0.3522
Pd4 Pd 0.5000 0.5000 0.0000
```

=====

(5)
Cs6Au3Cl2: simulated X-ray diffraction stick pattern (Cu Kα (λ = 1.5418 Å)), based on a crystal structure in Alexandria, relaxed with GGA-PBE.

Largest 6 diffraction maxima, by angle, 10° ≤ 2θ ≤ 90°:
17.72°, 5.004 Å, rel. 328
29.11°, 3.068 Å, rel. 1000
29.31°, 3.047 Å, rel. 203
41.76°, 2.163 Å, rel. 145
51.55°, 1.773 Å, rel. 220
51.86°, 1.763 Å, rel. 159

Crystal structure
```
data_Cs6Au3Cl2
_cell_length_a 10.6328
_cell_length_b 10.6328
_cell_length_c 10.6328
_cell_angle_alpha 146.69
_cell_angle_beta 131.71
_cell_angle_gamma 59.93
_space_group_name_H-M_alt 'P 1'
_space_group_IT_number 1
loop_
_space_group_symop_operation_xyz
'x,y,z'
loop_
_atom_site_label
_atom_site_type_symbol
_atom_site_fract_x
_atom_site_fract_y
_atom_site_fract_z
Cs1 Cs 0.0693 0.3274 0.7420
Cs2 Cs 0.2344 0.0000 0.2344
Cs3 Cs 0.4146 0.6726 0.7420
Cs4 Cs 0.5854 0.3274 0.2580
Cs5 Cs 0.7656 0.0000 0.7656
Cs6 Cs 0.9307 0.6726 0.2580
Au1 Au 0.0000 0.5000 0.5000
Au2 Au 0.3430 0.8430 0.5000
Au3 Au 0.6570 0.1570 0.5000
Cl1 Cl 0.1699 0.1699 0.0000
Cl2 Cl 0.8301 0.8301 0.0000
```

=====

What is the formula in the second record?
RbAcRe2O7